[1]
LiFePd5: computed powder XRD pattern (CuKα), based on a structure optimized by DFT (GGA-PBE).
Peak positions follow from Bragg's law for the DFT cell and can differ from measured ones.

Crystal structure
abc: 4.5371 4.5371 10.6077
angles: 90.00 90.00 76.79
Fractional coordinates of all 14 atoms:
1 Li 0.1299 0.8701 0.7500
2 Li 0.8701 0.1299 0.2500
3 Fe 0.5000 0.5000 0.0000
4 Fe 0.5000 0.5000 0.5000
5 Pd 0.0619 0.3457 0.6117
6 Pd 0.0619 0.3457 0.8883
7 Pd 0.3457 0.0619 0.1117
8 Pd 0.3457 0.0619 0.3883
9 Pd 0.4498 0.5502 0.2500
10 Pd 0.5502 0.4498 0.7500
11 Pd 0.6543 0.9381 0.6117
12 Pd 0.6543 0.9381 0.8883
13 Pd 0.9381 0.6543 0.1117
14 Pd 0.9381 0.6543 0.3883

Main lines, low angle first (10 to 90 degrees two-theta):
- 21.80°, I 38
- 25.04°, I 28
- 32.89°, I 32
- 39.64°, I 50
- 40.93°, I 100
- 41.32°, I 55
- 41.78°, I 70
- 42.53°, I 100
- 48.61°, I 28
- 49.00°, I 31
- 73.58°, I 23
- 76.19°, I 23



[2]
Na8B13C3: computed powder XRD pattern (CuKα), based on a structure optimized by DFT (GGA-PBE).
Peak positions follow from Bragg's law for the DFT cell and can differ from measured ones.

Crystal structure
abc: 5.9361 8.5938 5.0762
angles: 90.00 90.00 90.00
Fractional coordinates of all 24 atoms:
1 Na 0.0000 0.2473 0.0000
2 Na 0.0000 0.7527 0.0000
3 Na 0.2506 0.2471 0.5015
4 Na 0.2506 0.7529 0.5015
5 Na 0.5000 0.2502 0.0021
6 Na 0.5000 0.7498 0.0021
7 Na 0.7494 0.2471 0.5015
8 Na 0.7494 0.7529 0.5015
9 B 0.0000 0.0000 0.3387
10 B 0.0000 0.0000 0.6825
11 B 0.0000 0.5000 0.3283
12 B 0.0000 0.5000 0.6740
13 B 0.2503 0.5000 0.1733
14 B 0.2500 0.5000 0.8288
15 B 0.2630 0.0000 0.1585
16 B 0.5000 0.0000 0.6641
17 B 0.5000 0.5000 0.3285
18 B 0.5000 0.5000 0.6737
19 B 0.7370 0.0000 0.1585
20 B 0.7497 0.5000 0.1733
21 B 0.7500 0.5000 0.8288
22 C 0.2552 0.0000 0.8362
23 C 0.5000 0.0000 0.3318
24 C 0.7448 0.0000 0.8362

Main lines, low angle first (10 to 90 degrees two-theta):
- 35.02°, I 20
- 35.36°, I 9
- 41.01°, I 100
- 41.31°, I 50
- 42.06°, I 36
- 55.85°, I 11
- 62.59°, I 9
- 63.26°, I 18
- 76.14°, I 12
- 77.80°, I 12
- 78.30°, I 9
- 78.91°, I 17



[3]
Pr3Zn4Ni4: computed powder XRD pattern (CuKα), based on a structure optimized by DFT (GGA-PBE).
Peak positions follow from Bragg's law for the DFT cell and can differ from measured ones.

Crystal structure
abc: 3.9503 4.0678 13.3711
angles: 81.40 81.55 89.99
Fractional coordinates of all 11 atoms:
1 Pr 0.0000 0.0000 0.0000
2 Pr 0.1495 0.6504 0.7009
3 Pr 0.8505 0.3496 0.2991
4 Zn 0.2508 0.2505 0.4996
5 Zn 0.4025 0.9015 0.1946
6 Zn 0.5975 0.0985 0.8054
7 Zn 0.7492 0.7495 0.5004
8 Ni 0.3070 0.8071 0.3841
9 Ni 0.4553 0.4527 0.0910
10 Ni 0.5447 0.5473 0.9090
11 Ni 0.6930 0.1929 0.6159

Main lines, low angle first (10 to 90 degrees two-theta):
- 32.32°, I 16
- 33.00°, I 46
- 34.49°, I 100
- 38.01°, I 11
- 44.07°, I 13
- 44.18°, I 13
- 44.55°, I 27
- 45.95°, I 24
- 50.95°, I 16
- 65.58°, I 11
- 65.92°, I 20
- 77.60°, I 11



[4]
Nd3Sm13: computed powder XRD pattern (CuKα), based on a structure optimized by DFT (GGA-PBE).
Peak positions follow from Bragg's law for the DFT cell and can differ from measured ones.

Crystal structure
abc: 7.3600 8.6568 8.6568
angles: 85.32 90.00 90.00
Fractional coordinates of all 16 atoms:
1 Nd 0.0000 0.0000 0.0000
2 Nd 0.2504 0.7488 0.7488
3 Nd 0.7496 0.7488 0.7488
4 Sm 0.0000 0.4158 0.9168
5 Sm 0.0000 0.4988 0.4988
6 Sm 0.0000 0.9168 0.4158
7 Sm 0.2504 0.1671 0.6654
8 Sm 0.2501 0.2498 0.2498
9 Sm 0.2504 0.6654 0.1671
10 Sm 0.5000 0.9999 0.9999
11 Sm 0.5000 0.4150 0.9173
12 Sm 0.5000 0.4988 0.4988
13 Sm 0.5000 0.9173 0.4150
14 Sm 0.7496 0.1671 0.6654
15 Sm 0.7499 0.2498 0.2498
16 Sm 0.7496 0.6654 0.1671

Main lines, low angle first (10 to 90 degrees two-theta):
- 28.01°, I 24
- 30.48°, I 25
- 31.97°, I 100
- 41.87°, I 16
- 49.57°, I 20
- 55.11°, I 21
- 59.32°, I 23
- 60.21°, I 16
- 77.27°, I 8
- 81.63°, I 9
- 84.50°, I 8
- 88.89°, I 6



[5]
Pr2Mg7: computed powder XRD pattern (CuKα), based on a structure optimized by DFT (GGA-PBE).
Peak positions follow from Bragg's law for the DFT cell and can differ from measured ones.

Crystal structure
abc: 15.3442 15.3442 15.3442
angles: 22.83 22.83 22.83
Fractional coordinates of all 18 atoms:
1 Pr 0.0516 0.0516 0.0516
2 Pr 0.1521 0.1521 0.1521
3 Pr 0.8479 0.8479 0.8479
4 Pr 0.9484 0.9484 0.9484
5 Mg 0.0000 0.5000 0.5000
6 Mg 0.1084 0.6121 0.6121
7 Mg 0.2782 0.2782 0.2782
8 Mg 0.3879 0.3879 0.8916
9 Mg 0.3879 0.8916 0.3879
10 Mg 0.3891 0.3891 0.3891
11 Mg 0.5000 0.0000 0.5000
12 Mg 0.5000 0.5000 0.0000
13 Mg 0.5000 0.5000 0.5000
14 Mg 0.6109 0.6109 0.6109
15 Mg 0.6121 0.1084 0.6121
16 Mg 0.6121 0.6121 0.1084
17 Mg 0.7218 0.7218 0.7218
18 Mg 0.8916 0.3879 0.3879

Main lines, low angle first (10 to 90 degrees two-theta):
- 16.97°, I 52
- 17.81°, I 25
- 26.12°, I 69
- 27.70°, I 34
- 29.41°, I 64
- 34.15°, I 35
- 34.59°, I 100
- 43.92°, I 14
- 50.20°, I 23
- 52.12°, I 26
- 55.56°, I 25
- 61.00°, I 23



[6]
Na2SrP4O18: computed powder XRD pattern (CuKα), based on a structure optimized by DFT (GGA-PBE).
Peak positions follow from Bragg's law for the DFT cell and can differ from measured ones.

Crystal structure
abc: 8.9287 8.9287 8.9287
angles: 129.42 69.09 136.20
Fractional coordinates of all 25 atoms:
1 Na 0.2403 0.0000 0.2403
2 Na 0.7597 0.0000 0.7597
3 Sr 0.8055 0.8055 0.0000
4 P 0.0869 0.4887 0.1999
5 P 0.0869 0.8870 0.5982
6 P 0.2888 0.4887 0.4018
7 P 0.2888 0.8870 0.8001
8 O 0.0021 0.6068 0.3952
9 O 0.1128 0.1911 0.2927
10 O 0.1128 0.8200 0.9217
11 O 0.1873 0.0806 0.5568
12 O 0.1873 0.6305 0.1068
13 O 0.2116 0.6068 0.6048
14 O 0.2854 0.5722 0.2868
15 O 0.2854 0.9985 0.7132
16 O 0.4040 0.5540 0.8500
17 O 0.5237 0.0806 0.8932
18 O 0.5237 0.6305 0.4432
19 O 0.5829 0.1858 0.3971
20 O 0.6914 0.0948 0.4034
21 O 0.6914 0.2880 0.5966
22 O 0.7040 0.5540 0.1500
23 O 0.7887 0.1858 0.6029
24 O 0.8984 0.1911 0.0783
25 O 0.8984 0.8200 0.7073

Main lines, low angle first (10 to 90 degrees two-theta):
- 12.03°, I 58
- 14.60°, I 29
- 17.68°, I 40
- 22.52°, I 38
- 27.63°, I 100
- 29.44°, I 26
- 29.90°, I 22
- 30.13°, I 18
- 33.30°, I 21
- 33.86°, I 17
- 45.29°, I 16
- 45.46°, I 17



[7]
SnH2Se: computed powder XRD pattern (CuKα), based on a structure optimized by DFT (GGA-PBE).
Peak positions follow from Bragg's law for the DFT cell and can differ from measured ones.

Crystal structure
abc: 9.6718 9.6718 6.1512
angles: 90.00 90.00 156.57
Fractional coordinates of all 8 atoms:
1 Sn 0.1951 0.8049 0.7500
2 Sn 0.8049 0.1951 0.2500
3 H 0.4930 0.5070 0.6890
4 H 0.4930 0.5070 0.8110
5 H 0.5070 0.4930 0.1890
6 H 0.5070 0.4930 0.3110
7 Se 0.2048 0.7952 0.2500
8 Se 0.7952 0.2048 0.7500

Main lines, low angle first (10 to 90 degrees two-theta):
- 26.73°, I 100
- 29.03°, I 60
- 30.56°, I 64
- 32.85°, I 80
- 39.88°, I 68
- 40.49°, I 29
- 44.40°, I 71
- 47.28°, I 19
- 50.59°, I 30
- 55.53°, I 19
- 56.44°, I 23
- 70.28°, I 19



[8]
Ac8Co2Pt3: computed powder XRD pattern (CuKα), based on a structure optimized by DFT (GGA-PBE).
Peak positions follow from Bragg's law for the DFT cell and can differ from measured ones.

Crystal structure
abc: 8.7266 8.7266 7.3700
angles: 106.94 106.94 59.73
Fractional coordinates of all 13 atoms:
1 Ac 0.1078 0.6265 0.2316
2 Ac 0.1239 0.1239 0.2403
3 Ac 0.3704 0.3704 0.7782
4 Ac 0.3735 0.8922 0.7684
5 Ac 0.6265 0.1078 0.2316
6 Ac 0.6296 0.6296 0.2218
7 Ac 0.8761 0.8761 0.7597
8 Ac 0.8922 0.3735 0.7684
9 Co 0.2524 0.2524 0.0082
10 Co 0.7476 0.7476 0.9918
11 Pt 0.0000 0.0000 0.5000
12 Pt 0.2521 0.7479 0.0000
13 Pt 0.7479 0.2521 0.0000

Main lines, low angle first (10 to 90 degrees two-theta):
- 12.75°, I 11
- 24.99°, I 9
- 25.16°, I 18
- 29.23°, I 100
- 41.39°, I 26
- 41.57°, I 13
- 42.00°, I 12
- 42.26°, I 23
- 51.65°, I 14
- 68.09°, I 11
- 69.35°, I 10
- 75.72°, I 9



[9]
La2Sc2Pt: computed powder XRD pattern (CuKα), based on a structure optimized by DFT (GGA-PBE).
Peak positions follow from Bragg's law for the DFT cell and can differ from measured ones.

Crystal structure
abc: 7.0154 7.0154 5.5180
angles: 90.00 90.00 90.00
Fractional coordinates of all 10 atoms:
1 La 0.1673 0.3327 0.0000
2 La 0.3327 0.8327 0.0000
3 La 0.6673 0.1673 0.0000
4 La 0.8327 0.6673 0.0000
5 Sc 0.1562 0.6562 0.5000
6 Sc 0.3438 0.1562 0.5000
7 Sc 0.6562 0.8438 0.5000
8 Sc 0.8438 0.3438 0.5000
9 Pt 0.0000 0.0000 0.5000
10 Pt 0.5000 0.5000 0.5000

Main lines, low angle first (10 to 90 degrees two-theta):
- 24.12°, I 77
- 28.45°, I 18
- 30.19°, I 72
- 32.45°, I 53
- 32.84°, I 100
- 36.22°, I 19
- 40.67°, I 52
- 49.41°, I 16
- 52.96°, I 48
- 56.61°, I 18
- 58.14°, I 19
- 58.25°, I 19



[10]
SrYCu10: computed powder XRD pattern (CuKα), based on a structure optimized by DFT (GGA-PBE).
Peak positions follow from Bragg's law for the DFT cell and can differ from measured ones.

Crystal structure
abc: 4.0326 5.2088 8.9208
angles: 90.00 90.00 90.00
Fractional coordinates of all 12 atoms:
1 Sr 0.0000 0.0000 0.0000
2 Y 0.0000 0.5000 0.5000
3 Cu 0.0000 0.0000 0.3401
4 Cu 0.0000 0.0000 0.6599
5 Cu 0.0000 0.5000 0.1747
6 Cu 0.0000 0.5000 0.8253
7 Cu 0.5000 0.0000 0.5000
8 Cu 0.5000 0.2568 0.2601
9 Cu 0.5000 0.2568 0.7399
10 Cu 0.5000 0.5000 0.0000
11 Cu 0.5000 0.7432 0.2601
12 Cu 0.5000 0.7432 0.7399

Main lines, low angle first (10 to 90 degrees two-theta):
- 29.75°, I 23
- 34.74°, I 23
- 40.09°, I 32
- 40.45°, I 16
- 41.27°, I 51
- 41.52°, I 100
- 44.96°, I 42
- 46.22°, I 29
- 46.53°, I 13
- 61.79°, I 17
- 66.53°, I 22
- 73.32°, I 17



[11]
Rb2SnHg5: computed powder XRD pattern (CuKα), based on a structure optimized by DFT (GGA-PBE).
Peak positions follow from Bragg's law for the DFT cell and can differ from measured ones.

Crystal structure
abc: 7.5565 7.5565 7.5565
angles: 122.39 122.39 85.92
Fractional coordinates of all 8 atoms:
1 Rb 0.0000 0.5000 0.5000
2 Rb 0.5000 0.0000 0.5000
3 Sn 0.2517 0.2517 0.0000
4 Hg 0.5374 0.5374 0.5812
5 Hg 0.5374 0.9562 0.0000
6 Hg 0.9562 0.5374 0.0000
7 Hg 0.9562 0.9562 0.4188
8 Hg 0.9715 0.9715 0.0000

Main lines, low angle first (10 to 90 degrees two-theta):
- 14.56°, I 28
- 16.03°, I 36
- 28.57°, I 26
- 29.37°, I 100
- 32.38°, I 35
- 34.85°, I 44
- 36.83°, I 26
- 37.95°, I 26
- 44.70°, I 23
- 48.30°, I 33
- 55.91°, I 15
- 74.78°, I 15



[12]
Sm6Er2Th: computed powder XRD pattern (CuKα), based on a structure optimized by DFT (GGA-PBE).
Peak positions follow from Bragg's law for the DFT cell and can differ from measured ones.

Crystal structure
abc: 3.6005 3.6005 26.7421
angles: 90.00 90.00 120.00
Fractional coordinates of all 9 atoms:
1 Sm 0.0000 0.0000 0.0664
2 Sm 0.0000 0.0000 0.2784
3 Sm 0.0000 0.0000 0.7216
4 Sm 0.0000 0.0000 0.9336
5 Sm 0.3333 0.6667 0.3902
6 Sm 0.3333 0.6667 0.6098
7 Er 0.3333 0.6667 0.1706
8 Er 0.3333 0.6667 0.8294
9 Th 0.0000 0.0000 0.5000

Main lines, low angle first (10 to 90 degrees two-theta):
- 28.63°, I 46
- 30.08°, I 47
- 31.66°, I 67
- 33.26°, I 100
- 42.00°, I 29
- 50.71°, I 36
- 56.50°, I 31
- 60.09°, I 40
- 62.00°, I 17
- 79.33°, I 12
- 84.11°, I 15
- 84.57°, I 12



What did the second record say?
Na8B13C3: computed powder XRD pattern (CuKα), based on a structure optimized by DFT (GGA-PBE).
Peak positions follow from Bragg's law for the DFT cell and can differ from measured ones.

Crystal structure
abc: 5.9361 8.5938 5.0762
angles: 90.00 90.00 90.00
Fractional coordinates of all 24 atoms:
1 Na 0.0000 0.2473 0.0000
2 Na 0.0000 0.7527 0.0000
3 Na 0.2506 0.2471 0.5015
4 Na 0.2506 0.7529 0.5015
5 Na 0.5000 0.2502 0.0021
6 Na 0.5000 0.7498 0.0021
7 Na 0.7494 0.2471 0.5015
8 Na 0.7494 0.7529 0.5015
9 B 0.0000 0.0000 0.3387
10 B 0.0000 0.0000 0.6825
11 B 0.0000 0.5000 0.3283
12 B 0.0000 0.5000 0.6740
13 B 0.2503 0.5000 0.1733
14 B 0.2500 0.5000 0.8288
15 B 0.2630 0.0000 0.1585
16 B 0.5000 0.0000 0.6641
17 B 0.5000 0.5000 0.3285
18 B 0.5000 0.5000 0.6737
19 B 0.7370 0.0000 0.1585
20 B 0.7497 0.5000 0.1733
21 B 0.7500 0.5000 0.8288
22 C 0.2552 0.0000 0.8362
23 C 0.5000 0.0000 0.3318
24 C 0.7448 0.0000 0.8362

Main lines, low angle first (10 to 90 degrees two-theta):
- 35.02°, I 20
- 35.36°, I 9
- 41.01°, I 100
- 41.31°, I 50
- 42.06°, I 36
- 55.85°, I 11
- 62.59°, I 9
- 63.26°, I 18
- 76.14°, I 12
- 77.80°, I 12
- 78.30°, I 9
- 78.91°, I 17